Structure and computed powder X-ray diffraction pattern of Ba3Dy2WO9 (DFT lattice parameters and positions (PBE+U); λ = 1.5418 Å (Cu Kα)).
Lines closer than 0.1° are merged.

Main lines, low angle first (2θ = 10–90°):
| d_spacing | I/Imax | index |
| --- | --- | --- |
| 4.318 | 4 | 0 2 0 |
| 3.054 | 100 | 2 0 0 |
| 2.159 | 28 | 2 0 6 |
| 1.763 | 40 | 3 2 3 |
| 1.527 | 17 | 4 0 0 |
| 1.367 | 6 | 1 6 3 |
| 1.365 | 12 | 4 0 6 |
| 1.247 | 6 | 4 4 0 |
| 1.154 | 13 | 4 4 6 |
| 1.153 | 7 | 5 2 3 |

Structural model:
```
data_Ba3Dy2WO9
_cell_length_a 6.102
_cell_length_b 8.650
_cell_length_c 18.309
_cell_angle_alpha 90.00
_cell_angle_beta 90.00
_cell_angle_gamma 90.00
_space_group_name_H-M_alt 'I m m m'
_space_group_IT_number 71
_space_group_name_Hall '-I 2 2'
loop_
_atom_site_label
_atom_site_type_symbol
_atom_site_fract_x
_atom_site_fract_y
_atom_site_fract_z
_atom_site_occupancy
Ba1 Ba 0.000 0.235 0.000 1
Ba2 Ba 0.000 0.260 0.340 1
Dy1 Dy 0.000 0.000 0.171 1
Dy2 Dy 0.000 0.000 0.500 1
Dy3 Dy 0.000 0.500 0.500 1
W1 W 0.000 0.500 0.165 1
O1 O 0.000 0.247 0.500 1
O2 O 0.000 0.271 0.169 1
O3 O 0.228 0.500 0.089 1
O4 O 0.230 0.500 0.240 1
O5 O 0.249 0.000 0.089 1
```